(1)
Diffraction record for Ba3NaLi2F9. The X-ray diffraction stick pattern is simulated, not measured: it uses a cell relaxed with PBE and Cu Kα (λ = 1.5418 Å).
Kinematic intensities with the Lorentz-polarization factor, no thermal factor.

Structural model:
```
Ba3NaLi2F9
1.0
5.815 0.000 0.000
-2.908 5.036 0.000
0.000 0.000 7.154
Ba Na Li F
3 1 2 9
Cartesian
0.000 0.000 0.000 Ba
0.000 3.358 4.823 Ba
2.908 1.679 2.331 Ba
0.000 0.000 3.577 Na
0.000 3.358 1.170 Li
2.908 1.679 5.983 Li
-1.454 2.518 0.000 F
0.000 1.743 2.308 F
-1.399 4.165 2.308 F
1.509 0.871 4.846 F
2.908 0.000 0.000 F
1.454 2.518 0.000 F
1.399 4.165 2.308 F
4.306 0.871 4.846 F
2.908 3.294 4.846 F
```

Largest 12 diffraction maxima, in order of rising 2θ, 10 to 80 degrees two-theta:
d [Å]	2θ/deg	Rel. int.
4.118	21.58	77
2.912	30.70	100
2.385	37.72	20
2.375	37.88	59
2.059	43.97	48
1.844	49.43	18
1.840	49.55	18
1.685	54.44	10
1.680	54.63	30
1.458	63.84	14
1.454	64.05	14
1.241	76.82	19

(2)
Diffraction record for Mo2Os2Ru7. The X-ray diffraction stick pattern is simulated, not measured: it uses a cell relaxed with PBE and Cu Kα (λ = 1.5418 Å).
Kinematic intensities with the Lorentz-polarization factor, no thermal factor.

Structural model:
```
Mo2Os2Ru7
1.0
4.730 0.000 0.000
1.922 6.299 0.000
0.801 2.027 11.201
Mo Os Ru
4 4 14
Cartesian
1.093 3.244 3.516 Mo
2.646 0.981 2.234 Mo
4.807 7.344 8.966 Mo
6.360 5.081 7.684 Mo
2.603 4.582 5.210 Os
3.132 5.887 0.209 Os
4.321 2.438 10.992 Os
4.849 3.744 5.990 Os
2.417 6.529 9.845 Ru
0.784 0.884 4.330 Ru
2.421 5.414 2.596 Ru
2.459 3.853 9.893 Ru
2.522 2.734 7.115 Ru
2.575 3.247 0.993 Ru
4.250 6.381 6.437 Ru
3.203 1.944 4.763 Ru
4.877 5.078 10.208 Ru
4.931 5.591 4.085 Ru
4.994 4.473 1.308 Ru
5.032 2.911 8.605 Ru
6.668 7.442 6.871 Ru
5.036 1.797 1.356 Ru
```

Largest 12 diffraction maxima, in order of rising 2θ, 10 to 80 degrees two-theta:
d [Å]	2θ/deg	Rel. int.
5.885	15.05	33
5.600	15.82	47
2.340	38.46	54
2.290	39.34	41
2.238	40.30	54
2.209	40.85	61
2.176	41.50	100
2.148	42.07	69
2.121	42.62	97
2.086	43.38	50
2.069	43.76	58
2.020	44.87	37

(3)
Diffraction record for LiHg3F8. The X-ray diffraction stick pattern is simulated, not measured: it uses a cell relaxed with PBE and Cu Kα (λ = 1.5418 Å).
Kinematic intensities with the Lorentz-polarization factor, no thermal factor.

Structural model:
```
LiHg3F8
1.0
7.630 -2.213 0.000
7.630 2.213 0.000
-2.268 0.000 6.802
Li Hg F
1 3 8
Cartesian
0.000 0.000 0.000 Li
-0.198 0.000 3.928 Hg
4.195 0.000 0.162 Hg
4.435 0.000 4.419 Hg
0.123 0.000 1.872 F
-0.422 0.000 6.079 F
2.096 0.000 4.778 F
4.099 0.000 2.288 F
4.525 0.000 6.604 F
6.827 0.000 3.931 F
11.938 0.000 0.188 F
12.428 0.000 4.751 F
```

Largest 12 diffraction maxima, in order of rising 2θ, 10 to 80 degrees two-theta:
d [Å]	2θ/deg	Rel. int.
6.802	13.02	50
5.992	14.78	32
4.321	20.55	51
4.232	20.99	100
3.720	23.92	29
3.401	26.20	33
3.261	27.35	26
3.222	27.69	41
2.996	29.82	26
2.723	32.90	36
2.541	35.33	32
2.213	40.78	27

Please write out number 1 again, unchanged.
Diffraction record for Ba3NaLi2F9. The X-ray diffraction stick pattern is simulated, not measured: it uses a cell relaxed with PBE and Cu Kα (λ = 1.5418 Å).
Kinematic intensities with the Lorentz-polarization factor, no thermal factor.

Structural model:
```
Ba3NaLi2F9
1.0
5.815 0.000 0.000
-2.908 5.036 0.000
0.000 0.000 7.154
Ba Na Li F
3 1 2 9
Cartesian
0.000 0.000 0.000 Ba
0.000 3.358 4.823 Ba
2.908 1.679 2.331 Ba
0.000 0.000 3.577 Na
0.000 3.358 1.170 Li
2.908 1.679 5.983 Li
-1.454 2.518 0.000 F
0.000 1.743 2.308 F
-1.399 4.165 2.308 F
1.509 0.871 4.846 F
2.908 0.000 0.000 F
1.454 2.518 0.000 F
1.399 4.165 2.308 F
4.306 0.871 4.846 F
2.908 3.294 4.846 F
```

Largest 12 diffraction maxima, in order of rising 2θ, 10 to 80 degrees two-theta:
d [Å]	2θ/deg	Rel. int.
4.118	21.58	77
2.912	30.70	100
2.385	37.72	20
2.375	37.88	59
2.059	43.97	48
1.844	49.43	18
1.840	49.55	18
1.685	54.44	10
1.680	54.63	30
1.458	63.84	14
1.454	64.05	14
1.241	76.82	19

What did the third record say?
Diffraction record for LiHg3F8. The X-ray diffraction stick pattern is simulated, not measured: it uses a cell relaxed with PBE and Cu Kα (λ = 1.5418 Å).
Kinematic intensities with the Lorentz-polarization factor, no thermal factor.

Structural model:
```
LiHg3F8
1.0
7.630 -2.213 0.000
7.630 2.213 0.000
-2.268 0.000 6.802
Li Hg F
1 3 8
Cartesian
0.000 0.000 0.000 Li
-0.198 0.000 3.928 Hg
4.195 0.000 0.162 Hg
4.435 0.000 4.419 Hg
0.123 0.000 1.872 F
-0.422 0.000 6.079 F
2.096 0.000 4.778 F
4.099 0.000 2.288 F
4.525 0.000 6.604 F
6.827 0.000 3.931 F
11.938 0.000 0.188 F
12.428 0.000 4.751 F
```

Largest 12 diffraction maxima, in order of rising 2θ, 10 to 80 degrees two-theta:
d [Å]	2θ/deg	Rel. int.
6.802	13.02	50
5.992	14.78	32
4.321	20.55	51
4.232	20.99	100
3.720	23.92	29
3.401	26.20	33
3.261	27.35	26
3.222	27.69	41
2.996	29.82	26
2.723	32.90	36
2.541	35.33	32
2.213	40.78	27

Copy entry 1 word for word.
Diffraction record for Ba3NaLi2F9. The X-ray diffraction stick pattern is simulated, not measured: it uses a cell relaxed with PBE and Cu Kα (λ = 1.5418 Å).
Kinematic intensities with the Lorentz-polarization factor, no thermal factor.

Structural model:
```
Ba3NaLi2F9
1.0
5.815 0.000 0.000
-2.908 5.036 0.000
0.000 0.000 7.154
Ba Na Li F
3 1 2 9
Cartesian
0.000 0.000 0.000 Ba
0.000 3.358 4.823 Ba
2.908 1.679 2.331 Ba
0.000 0.000 3.577 Na
0.000 3.358 1.170 Li
2.908 1.679 5.983 Li
-1.454 2.518 0.000 F
0.000 1.743 2.308 F
-1.399 4.165 2.308 F
1.509 0.871 4.846 F
2.908 0.000 0.000 F
1.454 2.518 0.000 F
1.399 4.165 2.308 F
4.306 0.871 4.846 F
2.908 3.294 4.846 F
```

Largest 12 diffraction maxima, in order of rising 2θ, 10 to 80 degrees two-theta:
d [Å]	2θ/deg	Rel. int.
4.118	21.58	77
2.912	30.70	100
2.385	37.72	20
2.375	37.88	59
2.059	43.97	48
1.844	49.43	18
1.840	49.55	18
1.685	54.44	10
1.680	54.63	30
1.458	63.84	14
1.454	64.05	14
1.241	76.82	19